# 1
Starting from the PBE geometry in Alexandria, the X-ray diffraction stick pattern of YSb3S6 was computed for a wavelength of 1.5418 Å.
Peak positions follow from Bragg's law for the DFT cell and can differ from measured ones.

Structure:
Lattice parameters (Å, degrees): 11.4950 3.8538 11.8712 90.00 102.15 90.00
Atoms (fractional coordinates):
Y (0.1849, 0.2500, 0.0284)
Y (0.8151, 0.7500, 0.9716)
Sb (0.0277, 0.7500, 0.2864)
Sb (0.3357, 0.2500, 0.4174)
Sb (0.4081, 0.7500, 0.8443)
Sb (0.5919, 0.2500, 0.1557)
Sb (0.6643, 0.7500, 0.5826)
Sb (0.9723, 0.2500, 0.7136)
S (0.0378, 0.7500, 0.8957)
S (0.1194, 0.2500, 0.4374)
S (0.2137, 0.7500, 0.2109)
S (0.2584, 0.2500, 0.8020)
S (0.3772, 0.7500, 0.0451)
S (0.3823, 0.7500, 0.5614)
S (0.6177, 0.2500, 0.4386)
S (0.6228, 0.2500, 0.9549)
S (0.7416, 0.7500, 0.1980)
S (0.7863, 0.2500, 0.7891)
S (0.8806, 0.7500, 0.5626)
S (0.9622, 0.2500, 0.1043)

Most intense lines, 10° ≤ 2θ ≤ 80°, by angle:
d 5.665, I 91.2
d 3.921, I 71.9
d 3.669, I 50.2
d 3.412, I 83.7
d 2.730, I 100.0
d 1.927, I 46.9

=====

# 2
Starting from the PBE geometry in Alexandria, the X-ray diffraction stick pattern of Y5SbS4 was computed for a wavelength of 1.5418 Å.
Peak positions follow from Bragg's law for the DFT cell and can differ from measured ones.

Structure:
Lattice parameters (Å, degrees): 10.6394 10.6394 10.6394 158.24 148.85 38.32
Atoms (fractional coordinates):
Y (0.0000, 0.0000, 0.0000)
Y (0.1992, 0.1992, 0.0000)
Y (0.3892, 0.3892, 0.0000)
Y (0.6108, 0.6108, 0.0000)
Y (0.8008, 0.8008, 0.0000)
Sb (0.5000, 0.0000, 0.5000)
S (0.1017, 0.6017, 0.5000)
S (0.2950, 0.7950, 0.5000)
S (0.7050, 0.2050, 0.5000)
S (0.8983, 0.3983, 0.5000)

Most intense lines, 10° ≤ 2θ ≤ 80°, by angle:
d 3.287, I 22.5
d 2.857, I 52.5
d 2.841, I 100.0
d 2.014, I 71.2
d 2.009, I 34.2
d 1.643, I 35.3